1.
Starting from a structure optimized by DFT (GGA-PBE), the XRD peak list of ZnOsPt2 was computed for Cu Kα X-rays.

The 10 most intense peaks (2θ from 5° to 70°), in order of rising 2θ:
- 9.51°, 9.298 Å, intensity 192
- 19.09°, 4.649 Å, intensity 61
- 28.80°, 3.099 Å, intensity 64
- 37.91°, 2.373 Å, intensity 351
- 38.74°, 2.325 Å, intensity 316
- 39.06°, 2.306 Å, intensity 66
- 42.67°, 2.119 Å, intensity 1000
- 55.32°, 1.661 Å, intensity 242
- 63.48°, 1.465 Å, intensity 45
- 68.17°, 1.376 Å, intensity 63

Structural model:
```
8
Lattice="2.7514 0.0000 0.0000 0.0000 4.7462 0.0000 0.0000 0.0000 9.2984" Properties=species:S:1:pos:R:3 pbc="T T T"
Zn 0.0000 0.0000 0.0000
Zn 1.3757 2.3731 0.0000
Os 0.0000 2.3731 7.0575
Os 1.3757 0.0000 7.0575
Pt 0.0000 0.0000 4.7048
Pt 0.0000 2.3731 2.2207
Pt 1.3757 0.0000 2.2207
Pt 1.3757 2.3731 4.7048
```

2.
Starting from a structure optimized by DFT (GGA-PBE), the XRD peak list of PuOs4 was computed for Cu Kα X-rays.

The 10 most intense peaks (2θ from 5° to 70°), in order of rising 2θ:
- 18.94°, 4.686 Å, intensity 329
- 26.91°, 3.314 Å, intensity 286
- 33.11°, 2.706 Å, intensity 542
- 38.42°, 2.343 Å, intensity 1000
- 43.16°, 2.096 Å, intensity 166
- 47.52°, 1.913 Å, intensity 127
- 55.46°, 1.657 Å, intensity 703
- 59.14°, 1.562 Å, intensity 84
- 66.13°, 1.413 Å, intensity 223
- 69.48°, 1.353 Å, intensity 241

Structural model:
```
5
Lattice="4.6864 0.0000 0.0000 0.0000 4.6864 0.0000 0.0000 0.0000 4.6864" Properties=species:S:1:pos:R:3 pbc="T T T"
Pu 0.0000 0.0000 0.0000
Os 0.0000 0.0000 2.3432
Os 0.0000 2.3432 0.0000
Os 2.3432 0.0000 0.0000
Os 2.3432 2.3432 2.3432
```

3.
Starting from a structure optimized by DFT (GGA-PBE), the XRD peak list of Pu5Os was computed for Cu Kα X-rays.

The 10 most intense peaks (2θ from 5° to 70°), in order of rising 2θ:
- 23.92°, 3.721 Å, intensity 11
- 35.16°, 2.552 Å, intensity 308
- 36.21°, 2.480 Å, intensity 274
- 37.89°, 2.375 Å, intensity 1000
- 51.37°, 1.779 Å, intensity 208
- 54.93°, 1.671 Å, intensity 11
- 57.82°, 1.595 Å, intensity 76
- 64.90°, 1.437 Å, intensity 215
- 66.24°, 1.411 Å, intensity 188
- 69.51°, 1.352 Å, intensity 89

Structural model:
```
12
Lattice="5.1042 0.0000 0.0000 0.0000 14.8830 0.0000 0.0000 0.0000 3.1891" Properties=species:S:1:pos:R:3 pbc="T T T"
Pu 0.0000 0.0000 0.0000
Pu 0.0000 2.4267 1.5946
Pu 0.0000 5.0797 0.0000
Pu 0.0000 9.8033 0.0000
Pu 0.0000 12.4562 1.5946
Pu 2.5521 2.3618 0.0000
Pu 2.5521 5.0148 1.5946
Pu 2.5521 7.4415 0.0000
Pu 2.5521 9.8682 1.5946
Pu 2.5521 12.5212 0.0000
Os 0.0000 7.4415 1.5946
Os 2.5521 0.0000 1.5946
```

4.
Starting from a structure optimized by DFT (GGA-PBE), the XRD peak list of Pu3OsRh2 was computed for Cu Kα X-rays.

The 10 most intense peaks (2θ from 5° to 70°), in order of rising 2θ:
- 25.32°, 3.517 Å, intensity 106
- 27.94°, 3.194 Å, intensity 42
- 35.15°, 2.553 Å, intensity 300
- 37.06°, 2.426 Å, intensity 272
- 38.06°, 2.364 Å, intensity 1000
- 52.00°, 1.758 Å, intensity 201
- 57.74°, 1.597 Å, intensity 77
- 65.00°, 1.435 Å, intensity 198
- 67.46°, 1.388 Å, intensity 191
- 69.43°, 1.354 Å, intensity 85

Structural model:
```
12
Lattice="4.8513 0.0000 0.0000 0.0000 15.3171 0.0000 0.0000 0.0000 3.1935" Properties=species:S:1:pos:R:3 pbc="T T T"
Pu 1.2128 1.3598 0.0095
Pu 1.2128 6.2988 0.0095
Pu 1.2128 11.4878 3.1790
Pu 3.6385 3.8293 0.0145
Pu 3.6385 9.0183 3.1840
Pu 3.6385 13.9573 3.1840
Os 1.2128 3.8293 1.6116
Os 3.6385 11.4878 1.5819
Rh 1.2128 8.7936 1.5891
Rh 1.2128 14.1820 1.5891
Rh 3.6385 1.1351 1.6044
Rh 3.6385 6.5235 1.6044
```

5.
Starting from a structure optimized by DFT (GGA-PBE), the XRD peak list of Pu4OsRh2 was computed for Cu Kα X-rays.

The 10 most intense peaks (2θ from 5° to 70°), in order of rising 2θ:
- 25.80°, 3.453 Å, intensity 175
- 33.34°, 2.687 Å, intensity 547
- 33.55°, 2.671 Å, intensity 1000
- 39.76°, 2.267 Å, intensity 308
- 39.90°, 2.260 Å, intensity 741
- 50.60°, 1.804 Å, intensity 114
- 53.07°, 1.726 Å, intensity 219
- 55.23°, 1.663 Å, intensity 119
- 55.35°, 1.660 Å, intensity 144
- 55.48°, 1.656 Å, intensity 181

Structural model:
```
14
Lattice="-4.2216 4.2216 4.2520 4.2216 -4.2216 4.2520 4.2216 4.2216 -4.2520" Properties=species:S:1:pos:R:3 pbc="T T T"
Pu 3.6351 2.6852 -1.6882
Pu 5.7580 0.5865 0.4378
Pu 0.5865 2.6852 -0.4378
Pu 0.5865 1.5364 2.5638
Pu 1.5364 -0.5865 5.9401
Pu 3.6351 1.5364 3.8141
Pu 2.6852 4.8081 1.6882
Pu -1.5364 3.6351 4.6898
Os 0.0000 0.0000 0.0000
Os 0.0000 4.2216 2.1260
Rh 2.1108 -1.0028 3.1890
Rh 3.2188 2.1108 1.0630
Rh 2.1108 5.2244 -1.0630
Rh 1.0028 2.1108 5.3150
```

6.
Starting from a structure optimized by DFT (GGA-PBE), the XRD peak list of Pu4OsRu was computed for Cu Kα X-rays.

The 10 most intense peaks (2θ from 5° to 70°), in order of rising 2θ:
- 30.72°, 2.910 Å, intensity 109
- 33.17°, 2.701 Å, intensity 136
- 38.14°, 2.359 Å, intensity 814
- 38.62°, 2.331 Å, intensity 451
- 38.90°, 2.315 Å, intensity 1000
- 39.67°, 2.272 Å, intensity 506
- 50.98°, 1.792 Å, intensity 123
- 54.66°, 1.679 Å, intensity 117
- 56.56°, 1.627 Å, intensity 285
- 69.63°, 1.350 Å, intensity 115

Structural model:
```
12
Lattice="9.8299 0.0000 0.0000 0.0000 4.5440 0.0000 -3.3224 0.0000 4.7809" Properties=species:S:1:pos:R:3 pbc="T T T"
Pu 0.0000 0.0000 0.0000
Pu -1.8410 0.0000 2.7496
Pu 0.8420 0.0000 3.5244
Pu 2.3532 0.0000 1.5124
Pu 4.9150 2.2720 0.0000
Pu 3.0739 2.2720 2.7496
Pu 5.7570 2.2720 3.5244
Pu 7.2682 2.2720 1.5124
Os -1.1662 2.2720 4.4828
Os 3.7488 0.0000 4.4828
Ru 0.1717 2.2720 1.7978
Ru 5.0866 0.0000 1.7978
```

7.
Starting from a structure optimized by DFT (GGA-PBE), the XRD peak list of Pu6OsRu3 was computed for Cu Kα X-rays.

The 10 most intense peaks (2θ from 5° to 70°), in order of rising 2θ:
- 14.24°, 6.219 Å, intensity 274
- 19.23°, 4.616 Å, intensity 149
- 36.14°, 2.485 Å, intensity 205
- 36.88°, 2.437 Å, intensity 1000
- 38.14°, 2.360 Å, intensity 136
- 40.55°, 2.225 Å, intensity 416
- 42.88°, 2.109 Å, intensity 245
- 52.01°, 1.758 Å, intensity 158
- 65.00°, 1.435 Å, intensity 157
- 67.25°, 1.392 Å, intensity 145

Structural model:
```
20
Lattice="5.7396 0.0000 0.0000 -2.8698 4.9706 0.0000 0.0000 0.0000 12.4389" Properties=species:S:1:pos:R:3 pbc="T T T"
Pu -0.2233 1.8332 4.2615
Pu -1.3938 3.8606 1.9579
Pu 0.2233 1.8332 1.9579
Pu -1.1705 4.2474 4.2615
Pu 1.6993 0.7232 8.1773
Pu 1.4760 1.1100 10.4809
Pu 1.3938 3.8606 4.2615
Pu 1.1705 4.2474 1.9579
Pu 4.0403 0.7232 10.4809
Pu 2.6465 3.1374 8.1773
Pu 4.2636 1.1100 8.1773
Pu 3.0931 3.1374 10.4809
Os 0.0000 3.3138 9.3291
Os 2.8698 1.6569 3.1097
Ru 0.0000 0.0000 0.0000
Ru 0.0000 0.0000 6.2194
Ru 0.0000 3.3138 6.7963
Ru 0.0000 3.3138 11.8620
Ru 2.8698 1.6569 0.5768
Ru 2.8698 1.6569 5.6426
```

8.
Starting from a structure optimized by DFT (GGA-PBE), the XRD peak list of PuSi2OsRu was computed for Cu Kα X-rays.

The 10 most intense peaks (2θ from 5° to 70°), in order of rising 2θ:
- 23.28°, 3.821 Å, intensity 464
- 34.96°, 2.567 Å, intensity 324
- 35.67°, 2.517 Å, intensity 1000
- 36.68°, 2.450 Å, intensity 186
- 43.63°, 2.075 Å, intensity 355
- 50.02°, 1.823 Å, intensity 132
- 57.08°, 1.614 Å, intensity 162
- 58.28°, 1.583 Å, intensity 199
- 63.40°, 1.467 Å, intensity 118
- 65.40°, 1.427 Å, intensity 180

Structural model:
```
10
Lattice="4.1495 0.0000 0.0000 0.0000 4.1495 0.0000 0.0000 0.0000 9.7990" Properties=species:S:1:pos:R:3 pbc="T T T"
Pu 0.0000 0.0000 0.0000
Pu 2.0748 2.0748 4.8995
Si 0.0000 0.0000 3.6458
Si 0.0000 0.0000 6.1532
Si 2.0748 2.0748 1.2537
Si 2.0748 2.0748 8.5453
Os 0.0000 2.0748 7.3493
Os 2.0748 0.0000 2.4498
Ru 0.0000 2.0748 2.4498
Ru 2.0748 0.0000 7.3493
```

9.
Starting from a structure optimized by DFT (GGA-PBE), the XRD peak list of PuVOsRu was computed for Cu Kα X-rays.

The 5 most intense peaks (2θ from 5° to 70°), in order of rising 2θ:
- 24.03°, 3.704 Å, intensity 291
- 39.74°, 2.268 Å, intensity 1000
- 46.97°, 1.934 Å, intensity 160
- 57.46°, 1.604 Å, intensity 171
- 63.17°, 1.472 Å, intensity 70

Structural model:
```
16
Lattice="6.4154 0.0000 0.0000 0.0000 6.4154 0.0000 0.0000 0.0000 6.4154" Properties=species:S:1:pos:R:3 pbc="T T T"
Pu 0.0000 0.0000 0.0000
Pu 0.0000 3.2077 3.2077
Pu 3.2077 0.0000 3.2077
Pu 3.2077 3.2077 0.0000
V 0.0000 0.0000 3.2077
V 0.0000 3.2077 0.0000
V 3.2077 0.0000 0.0000
V 3.2077 3.2077 3.2077
Os 1.6039 1.6039 4.8116
Os 1.6039 4.8116 1.6039
Os 4.8116 1.6039 1.6039
Os 4.8116 4.8116 4.8116
Ru 1.6039 1.6039 1.6039
Ru 1.6039 4.8116 4.8116
Ru 4.8116 1.6039 4.8116
Ru 4.8116 4.8116 1.6039
```

10.
Starting from a structure optimized by DFT (GGA-PBE), the XRD peak list of Pu2Si3Os was computed for Cu Kα X-rays.

The 10 most intense peaks (2θ from 5° to 70°), in order of rising 2θ:
- 11.21°, 7.894 Å, intensity 189
- 25.09°, 3.549 Å, intensity 320
- 25.73°, 3.462 Å, intensity 99
- 30.38°, 2.942 Å, intensity 77
- 33.97°, 2.639 Å, intensity 1000
- 44.21°, 2.049 Å, intensity 368
- 45.99°, 1.973 Å, intensity 106
- 53.10°, 1.725 Å, intensity 87
- 56.90°, 1.618 Å, intensity 241
- 65.69°, 1.421 Å, intensity 224

Structural model:
```
12
Lattice="4.0976 0.0000 0.0000 -2.0488 3.5486 0.0000 0.0000 0.0000 15.7878" Properties=species:S:1:pos:R:3 pbc="T T T"
Pu 0.0000 0.0000 2.0317
Pu 0.0000 0.0000 5.8622
Pu 0.0000 0.0000 9.9256
Pu 0.0000 0.0000 13.7561
Si 0.0000 2.3657 0.1315
Si 0.0000 2.3657 3.9469
Si 0.0000 2.3657 7.7624
Si 2.0488 1.1829 8.0254
Si 2.0488 1.1829 11.8408
Si 2.0488 1.1829 15.6563
Os 0.0000 2.3657 11.8408
Os 2.0488 1.1829 3.9469
```

11.
Starting from a structure optimized by DFT (GGA-PBE), the XRD peak list of Pu3Si9Os2 was computed for Cu Kα X-rays.

The 10 most intense peaks (2θ from 5° to 70°), in order of rising 2θ:
- 20.62°, 4.307 Å, intensity 281
- 28.28°, 3.156 Å, intensity 1000
- 30.34°, 2.946 Å, intensity 991
- 36.97°, 2.432 Å, intensity 261
- 37.90°, 2.374 Å, intensity 247
- 41.95°, 2.154 Å, intensity 599
- 48.73°, 1.869 Å, intensity 176
- 52.64°, 1.739 Å, intensity 348
- 53.90°, 1.701 Å, intensity 195
- 63.11°, 1.473 Å, intensity 203

Structural model:
```
14
Lattice="5.8924 0.0000 0.0000 -2.9462 5.1030 0.0000 0.0000 0.0000 8.0325" Properties=species:S:1:pos:R:3 pbc="T T T"
Pu 0.0000 0.0000 0.0000
Pu 0.0000 3.4020 2.6595
Pu 2.9462 1.7010 5.3729
Si -1.4731 2.5515 0.0000
Si 0.0000 1.4066 5.0481
Si -1.7281 4.3997 5.0481
Si 1.2181 0.7033 2.9844
Si 2.9462 0.0000 0.0000
Si 1.4731 2.5515 0.0000
Si 1.7281 4.3997 5.0481
Si 4.6743 0.7033 2.9844
Si 2.9462 3.6964 2.9844
Os 0.0000 3.4020 6.2366
Os 2.9462 1.7010 1.7959
```

12.
Starting from a structure optimized by DFT (GGA-PBE), the XRD peak list of SmPu2Os9 was computed for Cu Kα X-rays.

The 10 most intense peaks (2θ from 5° to 70°), in order of rising 2θ:
- 33.43°, 2.680 Å, intensity 507
- 33.71°, 2.659 Å, intensity 627
- 38.51°, 2.338 Å, intensity 580
- 39.30°, 2.292 Å, intensity 951
- 39.52°, 2.280 Å, intensity 1000
- 40.33°, 2.237 Å, intensity 983
- 41.22°, 2.190 Å, intensity 659
- 42.08°, 2.147 Å, intensity 474
- 42.32°, 2.136 Å, intensity 569
- 43.28°, 2.090 Å, intensity 807

Structural model:
```
12
Lattice="4.6912 -2.6011 0.0000 4.6912 2.6011 0.0000 -3.0654 0.0000 8.7605" Properties=species:S:1:pos:R:3 pbc="T T T"
Sm 0.0000 0.0000 0.0000
Pu -0.0013 0.0000 3.7110
Pu 6.3182 0.0000 5.0494
Os 2.2816 1.3119 2.2403
Os 2.8695 0.0000 0.0706
Os 4.0354 1.3119 6.5202
Os 1.6189 0.0000 6.7197
Os 3.1585 0.0000 4.3802
Os 4.6980 0.0000 2.0408
Os 2.2816 -1.3119 2.2403
Os 3.4475 0.0000 8.6899
Os 4.0354 -1.3119 6.5202
```